No. 1
Simulated X-ray diffraction stick pattern
Compound: NaCl
Radiation: CuKα
Structure: a GGA-PBE-relaxed structure
Lines closer than 0.1° are merged.

Principal peaks in the range 2θ from 10° to 80°, sorted by position:
(1 1 0), 2θ 16.9, d 5.256, I = 100.0
(1 0 1), 2θ 21.6, d 4.118, I = 57.4
(2 0 1), 2θ 27.5, d 3.242, I = 39.8
(3 0 0), 2θ 29.4, d 3.035, I = 32.6
(1 2 1), 2θ 32.4, d 2.759, I = 34.1
(4 0 1), 2θ 44.4, d 2.042, I = 73.4

```
data_NaCl
_chemical_formula_sum 'Na6 Cl6'
_symmetry_space_group_name_H-M 'P 63/m'
_symmetry_Int_Tables_number 176
_symmetry_space_group_name_Hall '-P 6c'
_cell_length_a 10.5129
_cell_length_b 10.5129
_cell_length_c 4.6171
_cell_angle_alpha 90.00
_cell_angle_beta 90.00
_cell_angle_gamma 120.00
loop_
_atom_site_label
_atom_site_type_symbol
_atom_site_fract_x
_atom_site_fract_y
_atom_site_fract_z
_atom_site_occupancy
Na1 Na 0.0742 0.4109 0.2500 1
Cl1 Cl 0.0799 0.6760 0.2500 1
```

---

No. 2
Simulated X-ray diffraction stick pattern
Compound: NaCl
Radiation: CuKα
Structure: a GGA-PBE-relaxed structure
Lines closer than 0.1° are merged.

Principal peaks in the range 2θ from 10° to 80°, sorted by position:
(1 0 0), 2θ 21.5, d 4.132, I = 100.0
(0 0 2), 2θ 31.6, d 2.831, I = 46.9
(1 1 0), 2θ 37.7, d 2.386, I = 82.8
(1 0 2), 2θ 38.6, d 2.335, I = 38.7
(1 1 2), 2θ 50.0, d 1.824, I = 66.8
(3 0 2), 2θ 77.0, d 1.238, I = 16.1

```
data_NaCl
_chemical_formula_sum 'Na2 Cl2'
_symmetry_space_group_name_H-M 'P 63/m m c'
_symmetry_Int_Tables_number 194
_symmetry_space_group_name_Hall '-P 6c 2c'
_cell_length_a 4.7710
_cell_length_b 4.7710
_cell_length_c 5.6613
_cell_angle_alpha 90.00
_cell_angle_beta 90.00
_cell_angle_gamma 120.00
loop_
_atom_site_label
_atom_site_type_symbol
_atom_site_fract_x
_atom_site_fract_y
_atom_site_fract_z
_atom_site_occupancy
Na1 Na 0.3333 0.6667 0.2500 1
Cl1 Cl 0.3333 0.6667 0.7500 1
```

---

No. 3
Simulated X-ray diffraction stick pattern
Compound: Na2Cl
Radiation: CuKα
Structure: a GGA-PBE-relaxed structure
Lines closer than 0.1° are merged.

Principal peaks in the range 2θ from 10° to 80°, sorted by position:
(0 0 3), 2θ 13.3, d 6.663, I = 52.2
(1 0 1), 2θ 26.5, d 3.357, I = 31.5
(1 0 4), 2θ 31.8, d 2.814, I = 100.0
(0 1 5), 2θ 34.6, d 2.593, I = 16.5
(0 1 8), 2θ 45.0, d 2.015, I = 34.6
(1 1 0), 2θ 46.2, d 1.966, I = 32.0

```
data_Na2Cl
_chemical_formula_sum 'Na6 Cl3'
_symmetry_space_group_name_H-M 'R -3 m'
_symmetry_Int_Tables_number 166
_symmetry_space_group_name_Hall '-R 3 2"'
_cell_length_a 3.9326
_cell_length_b 3.9326
_cell_length_c 19.9894
_cell_angle_alpha 90.00
_cell_angle_beta 90.00
_cell_angle_gamma 120.00
loop_
_atom_site_label
_atom_site_type_symbol
_atom_site_fract_x
_atom_site_fract_y
_atom_site_fract_z
_atom_site_occupancy
Na1 Na 0.0000 0.0000 0.2479 1
Cl1 Cl 0.0000 0.0000 0.0000 1
```

---

No. 4
Simulated X-ray diffraction stick pattern
Compound: Na2Cl
Radiation: CuKα
Structure: a GGA-PBE-relaxed structure
Lines closer than 0.1° are merged.

Principal peaks in the range 2θ from 10° to 80°, sorted by position:
(0 1 1), 2θ 13.9, d 6.386, I = 64.4
(0 1 3), 2θ 22.5, d 3.946, I = 39.2
(0 0 4), 2θ 25.1, d 3.548, I = 100.0
(1 1 2), 2θ 28.9, d 3.087, I = 71.0
(1 2 1), 2θ 34.6, d 2.593, I = 88.7
(1 2 3), 2θ 39.1, d 2.304, I = 75.5

```
data_Na2Cl
_chemical_formula_sum 'Na8 Cl4'
_symmetry_space_group_name_H-M 'I m m a'
_symmetry_Int_Tables_number 74
_symmetry_space_group_name_Hall '-I 2b 2'
_cell_length_a 3.9070
_cell_length_b 7.1510
_cell_length_c 14.1936
_cell_angle_alpha 90.00
_cell_angle_beta 90.00
_cell_angle_gamma 90.00
loop_
_atom_site_label
_atom_site_type_symbol
_atom_site_fract_x
_atom_site_fract_y
_atom_site_fract_z
_atom_site_occupancy
Na1 Na 0.0000 0.0126 0.1445 1
Cl1 Cl 0.0000 0.2500 0.6126 1
```

---

No. 5
Simulated X-ray diffraction stick pattern
Compound: NaNbCl2
Radiation: CuKα
Structure: a GGA-PBE-relaxed structure
Lines closer than 0.1° are merged.

Principal peaks in the range 2θ from 10° to 80°, sorted by position:
(0 0 6), 2θ 17.2, d 5.141, I = 54.0
(0 1 2), 2θ 32.3, d 2.775, I = 100.0
(0 1 5), 2θ 35.0, d 2.566, I = 98.6
(0 1 8), 2θ 39.6, d 2.277, I = 90.1
(1 0 10), 2θ 43.5, d 2.082, I = 74.2
(1 1 0), 2θ 56.5, d 1.629, I = 36.8

```
data_NaNbCl2
_chemical_formula_sum 'Na3 Nb3 Cl6'
_symmetry_space_group_name_H-M 'R -3 m'
_symmetry_Int_Tables_number 166
_symmetry_space_group_name_Hall '-R 3 2"'
_cell_length_a 3.2576
_cell_length_b 3.2576
_cell_length_c 30.8448
_cell_angle_alpha 90.00
_cell_angle_beta 90.00
_cell_angle_gamma 120.00
loop_
_atom_site_label
_atom_site_type_symbol
_atom_site_fract_x
_atom_site_fract_y
_atom_site_fract_z
_atom_site_occupancy
Na1 Na 0.0000 0.0000 0.0000 1
Nb1 Nb 0.0000 0.0000 0.5000 1
Cl1 Cl 0.0000 0.0000 0.1095 1
```

---

No. 6
Simulated X-ray diffraction stick pattern
Compound: NaNb4Cl7
Radiation: CuKα
Structure: a GGA-PBE-relaxed structure
Lines closer than 0.1° are merged.

Principal peaks in the range 2θ from 10° to 80°, sorted by position:
(2 0 0), 2θ 11.2, d 7.902, I = 100.0
(0 1 0), 2θ 14.5, d 6.090, I = 26.6
(3 0 1), 2θ 22.6, d 3.938, I = 27.4
(0 0 2), 2θ 30.1, d 2.964, I = 28.5
(3 1 2), 2θ 37.8, d 2.378, I = 23.9
(6 1 1), 2θ 40.3, d 2.238, I = 48.2

```
data_NaNb4Cl7
_chemical_formula_sum 'Na2 Nb8 Cl14'
_symmetry_space_group_name_H-M 'P m n 21'
_symmetry_Int_Tables_number 31
_symmetry_space_group_name_Hall 'P 2ac -2'
_cell_length_a 15.8040
_cell_length_b 6.0899
_cell_length_c 5.9283
_cell_angle_alpha 90.00
_cell_angle_beta 90.00
_cell_angle_gamma 90.00
loop_
_atom_site_label
_atom_site_type_symbol
_atom_site_fract_x
_atom_site_fract_y
_atom_site_fract_z
_atom_site_occupancy
Na1 Na 0.0000 0.1712 0.0000 1
Nb1 Nb 0.1568 0.7681 0.4436 1
Nb2 Nb 0.2395 0.1044 0.3742 1
Cl1 Cl 0.0000 0.8608 0.3384 1
Cl2 Cl 0.1021 0.8185 0.8268 1
Cl3 Cl 0.1252 0.3757 0.2612 1
Cl4 Cl 0.2044 0.2915 0.7516 1
```